[1]
Simulated powder diffraction line list of Dy3Mn3Ga2Si for copper Kα, from a PBE-relaxed structure.
No peak broadening, texture or thermal motion is included.

Principal peaks in the range 2θ = 5–70°, low angle first:
2θ = 25.01°, d = 3.560 Å, I 25
2θ = 28.96°, d = 3.083 Å, I 10
2θ = 34.04°, d = 2.634 Å, I 100
2θ = 37.12°, d = 2.422 Å, I 55
2θ = 38.63°, d = 2.330 Å, I 37
2θ = 44.06°, d = 2.055 Å, I 15
2θ = 46.38°, d = 1.958 Å, I 18
2θ = 53.59°, d = 1.710 Å, I 16
2θ = 58.93°, d = 1.567 Å, I 28
2θ = 61.90°, d = 1.499 Å, I 18

Crystal structure
```
Dy3Mn3Ga2Si
1.0
7.1198 0.0000 0.0000
-3.5599 6.1659 0.0000
0.0000 0.0000 3.9159
Dy Mn Ga Si
3 3 2 1
Cartesian
-2.1198 3.6717 0.0000 Dy
1.4400 2.4942 0.0000 Dy
4.2397 0.0000 0.0000 Dy
-0.7872 1.3634 1.9579 Mn
1.5743 0.0000 1.9579 Mn
2.7727 4.8025 1.9579 Mn
0.0000 4.1106 1.9579 Ga
3.5599 2.0553 1.9579 Ga
0.0000 0.0000 0.0000 Si
```



[2]
Simulated powder diffraction line list of Dy2NbGaO7 for copper Kα, from a PBE-relaxed structure.
No peak broadening, texture or thermal motion is included.

Principal peaks in the range 2θ = 5–70°, low angle first:
2θ = 29.78°, d = 3.000 Å, I 100
2θ = 30.36°, d = 2.944 Å, I 95
2θ = 34.86°, d = 2.574 Å, I 62
2θ = 49.40°, d = 1.845 Å, I 16
2θ = 50.10°, d = 1.821 Å, I 62
2θ = 50.92°, d = 1.793 Å, I 15
2θ = 59.10°, d = 1.563 Å, I 29
2θ = 59.32°, d = 1.558 Å, I 14
2θ = 59.66°, d = 1.550 Å, I 14
2θ = 60.11°, d = 1.539 Å, I 27

Crystal structure
```
Dy2NbGaO7
1.0
-3.5869 3.6895 5.1557
3.5869 -3.6895 5.1557
3.5869 3.6895 -5.1557
Dy Nb Ga O
4 2 2 14
Cartesian
0.0000 0.0000 0.0000 Dy
-1.7934 1.8447 2.5778 Dy
0.0000 3.6895 0.0000 Dy
1.7934 1.8447 2.5778 Dy
3.5869 0.0000 0.0000 Nb
0.0000 0.0000 5.1557 Nb
1.7934 1.8447 -2.5778 Ga
1.7934 -1.8447 2.5778 Ga
3.5869 -1.8447 3.4476 O
2.1010 -0.2985 1.2939 O
5.0727 -0.2985 1.2939 O
3.5869 1.8447 0.8591 O
2.1010 3.3909 -1.2939 O
1.4858 -0.2985 3.8618 O
0.0000 1.8447 1.2913 O
3.5869 1.8447 3.8644 O
2.1010 3.9880 1.2939 O
1.4858 0.2985 6.4496 O
0.0000 1.8447 4.2966 O
-1.4858 3.9880 3.8618 O
1.4858 3.9880 3.8618 O
0.0000 5.5342 1.7081 O
```



[3]
Simulated powder diffraction line list of Dy2Ga5Ni5 for copper Kα, from a PBE-relaxed structure.
No peak broadening, texture or thermal motion is included.

Principal peaks in the range 2θ = 5–70°, low angle first:
2θ = 24.77°, d = 3.595 Å, I 43
2θ = 32.00°, d = 2.796 Å, I 93
2θ = 34.94°, d = 2.568 Å, I 57
2θ = 37.99°, d = 2.368 Å, I 85
2θ = 38.11°, d = 2.362 Å, I 86
2θ = 40.50°, d = 2.227 Å, I 42
2θ = 41.60°, d = 2.171 Å, I 100
2θ = 41.73°, d = 2.164 Å, I 53
2θ = 44.57°, d = 2.033 Å, I 96
2θ = 61.92°, d = 1.499 Å, I 45

Crystal structure
```
Dy2Ga5Ni5
1.0
8.8574 0.0000 0.0000
0.0000 4.0659 0.0000
-0.0539 0.0000 15.4290
Dy Ga Ni
6 15 15
Cartesian
0.0000 0.0000 0.0000 Dy
-0.0237 0.0000 10.2935 Dy
4.2766 2.0330 12.8844 Dy
4.3576 0.0000 7.6960 Dy
4.4097 0.0000 2.6505 Dy
8.7788 2.0330 5.2343 Dy
-0.0113 2.0330 12.8829 Ga
1.2579 0.0000 2.9135 Ga
2.1172 2.0330 8.9455 Ga
2.1858 2.0330 1.3540 Ga
2.4370 0.0000 5.2669 Ga
3.0203 0.0000 10.7305 Ga
3.0201 0.0000 15.0254 Ga
4.4598 2.0330 5.1591 Ga
5.6416 0.0000 10.6236 Ga
5.6246 0.0000 15.1480 Ga
6.5641 2.0330 9.0669 Ga
6.6190 2.0330 1.2941 Ga
6.9599 0.0000 12.8835 Ga
7.4954 0.0000 3.0524 Ga
7.5724 0.0000 7.3036 Ga
1.2571 0.0000 7.4982 Ni
1.6916 0.0000 12.8873 Ni
1.9158 2.0330 11.4351 Ni
1.9102 2.0330 14.3367 Ni
2.4114 2.0330 3.7957 Ni
2.4109 2.0330 6.5625 Ni
4.3114 2.0330 10.0379 Ni
4.3748 2.0330 0.3196 Ni
6.1413 0.0000 5.1891 Ni
6.3603 2.0330 6.6489 Ni
6.3934 2.0330 3.7354 Ni
6.8066 2.0330 11.4893 Ni
6.7965 2.0330 14.2880 Ni
8.7478 2.0330 8.0247 Ni
8.8001 2.0330 2.3461 Ni
```



[4]
Simulated powder diffraction line list of Dy3Ga2Ni6 for copper Kα, from a PBE-relaxed structure.
No peak broadening, texture or thermal motion is included.

Principal peaks in the range 2θ = 5–70°, low angle first:
2θ = 24.48°, d = 3.636 Å, I 22
2θ = 31.77°, d = 2.817 Å, I 39
2θ = 34.90°, d = 2.571 Å, I 41
2θ = 37.79°, d = 2.380 Å, I 22
2θ = 40.51°, d = 2.227 Å, I 25
2θ = 43.09°, d = 2.099 Å, I 100
2θ = 56.60°, d = 1.626 Å, I 18
2θ = 60.62°, d = 1.527 Å, I 12
2θ = 62.58°, d = 1.484 Å, I 9
2θ = 64.49°, d = 1.445 Å, I 15

Crystal structure
```
Dy3Ga2Ni6
1.0
-4.4533 4.4533 4.4533
4.4533 -4.4533 4.4533
4.4533 4.4533 -4.4533
Dy Ga Ni
6 4 12
Cartesian
2.6296 0.0000 0.0000 Dy
6.2770 0.0000 0.0000 Dy
0.0000 2.6296 0.0000 Dy
0.0000 0.0000 2.6296 Dy
0.0000 6.2770 0.0000 Dy
0.0000 0.0000 6.2770 Dy
2.2267 2.2267 -2.2267 Ga
2.2267 -2.2267 2.2267 Ga
-2.2267 2.2267 2.2267 Ga
2.2267 2.2267 2.2267 Ga
0.0000 5.9150 2.9916 Ni
0.0000 2.9916 5.9150 Ni
4.4533 1.4617 1.4617 Ni
1.4617 4.4533 -1.4617 Ni
2.9916 2.9916 0.0000 Ni
1.4617 -1.4617 4.4533 Ni
2.9916 0.0000 2.9916 Ni
2.9916 0.0000 5.9150 Ni
1.4617 4.4533 1.4617 Ni
2.9916 5.9150 0.0000 Ni
1.4617 1.4617 4.4533 Ni
0.0000 2.9916 2.9916 Ni
```



[5]
Simulated powder diffraction line list of DyGa2Ni3 for copper Kα, from a PBE-relaxed structure.
No peak broadening, texture or thermal motion is included.

Principal peaks in the range 2θ = 5–70°, low angle first:
2θ = 24.70°, d = 3.605 Å, I 20
2θ = 32.21°, d = 2.779 Å, I 73
2θ = 35.64°, d = 2.519 Å, I 41
2θ = 38.40°, d = 2.344 Å, I 100
2θ = 41.39°, d = 2.182 Å, I 62
2θ = 42.10°, d = 2.147 Å, I 71
2θ = 44.16°, d = 2.051 Å, I 53
2θ = 47.19°, d = 1.926 Å, I 33
2θ = 57.99°, d = 1.590 Å, I 20
2θ = 62.12°, d = 1.494 Å, I 37

Crystal structure
```
DyGa2Ni3
1.0
8.7262 0.0000 0.0000
-4.3631 7.5571 0.0000
0.0000 0.0000 4.1015
Dy Ga Ni
3 6 9
Cartesian
0.0000 0.0000 0.0000 Dy
0.0000 5.0381 2.0507 Dy
4.3631 2.5190 2.0507 Dy
-1.1796 2.0432 2.0507 Ga
-2.2473 3.8924 0.0000 Ga
2.3593 0.0000 2.0507 Ga
2.1158 3.6647 0.0000 Ga
4.4946 0.0000 0.0000 Ga
3.1835 5.5139 2.0507 Ga
-3.0732 5.3230 2.0507 Ni
-0.0830 2.8058 0.0000 Ni
-1.8917 6.2261 0.0000 Ni
1.2899 2.2342 2.0507 Ni
2.4714 1.3310 0.0000 Ni
1.9747 6.0824 0.0000 Ni
6.1464 0.0000 2.0507 Ni
4.2801 4.7513 0.0000 Ni
6.3378 1.4747 0.0000 Ni
```



[6]
Simulated powder diffraction line list of Dy6GaNi2 for copper Kα, from a PBE-relaxed structure.
No peak broadening, texture or thermal motion is included.

Principal peaks in the range 2θ = 5–70°, low angle first:
2θ = 26.50°, d = 3.363 Å, I 22
2θ = 29.42°, d = 3.036 Å, I 23
2θ = 30.88°, d = 2.895 Å, I 28
2θ = 32.55°, d = 2.751 Å, I 100
2θ = 34.70°, d = 2.585 Å, I 49
2θ = 34.83°, d = 2.576 Å, I 61
2θ = 35.53°, d = 2.527 Å, I 45
2θ = 36.17°, d = 2.483 Å, I 23
2θ = 39.55°, d = 2.279 Å, I 22
2θ = 61.48°, d = 1.508 Å, I 31

Crystal structure
```
Dy6GaNi2
1.0
-4.5570 4.7818 4.9843
4.5570 -4.7818 4.9843
4.5570 4.7818 -4.9843
Dy Ga Ni
12 2 4
Cartesian
4.5570 2.9185 -2.6457 Dy
2.6049 1.7283 0.0000 Dy
6.5092 1.7283 0.0000 Dy
1.7665 4.7818 -1.7404 Dy
2.7906 0.0000 3.2438 Dy
0.0000 1.8633 2.3386 Dy
4.5570 2.9185 2.6457 Dy
1.7665 4.7818 1.7404 Dy
2.7906 0.0000 6.7247 Dy
-1.9521 3.0535 4.9843 Dy
1.9521 3.0535 4.9843 Dy
0.0000 1.8633 7.6300 Dy
0.0000 0.0000 0.0000 Ga
0.0000 0.0000 4.9843 Ga
4.5570 0.0000 1.2234 Ni
0.0000 3.3715 0.0000 Ni
0.0000 6.1921 0.0000 Ni
0.0000 4.7818 3.7609 Ni
```